Starting from a DFT-relaxed cell (GGA-PBE, Alexandria), the X-ray powder pattern of Np3PbO9 was calculated for Cu Kα X-rays.
Neutral-atom scattering factors, no anomalous dispersion.

Cell: 8.0160 8.0160 4.1295 Å, 90.00 90.00 120.00°
Space group P6/mmm (No. 191)
Inequivalent atoms, fractional coordinates:
Np 0.0000 0.5000 0.0000 x3
Pb 0.0000 0.0000 0.5000 x1
O 0.0000 0.5000 0.5000 x3
O 0.2045 0.4091 0.0000 x6

The 10 most intense peaks (2θ from 10° to 90°), by angle:
index  2θ/deg  I (rel.)
0 0 1  21.52  184
1 0 1  25.09  470
2 0 0  25.67  1000
1 1 1  31.10  287
2 0 1  33.73  190
2 1 1  40.74  199
2 2 0  45.25  266
2 0 2  51.50  312
4 0 0  52.74  159
2 2 2  64.84  181